Starting from the PBE+U geometry in Alexandria, the XRD peak list of Rb2LiMoO4 was calculated for Cu Kα, 1.54184 Å.
Kinematic intensities with the Lorentz-polarization factor, no thermal factor.

Top 6 peaks for 2θ from 15° to 90°, in order of rising 2θ:
| Position (°2θ) | I (rel.) |
| --- | --- |
| 18.77 | 100 |
| 27.58 | 48 |
| 28.42 | 84 |
| 29.63 | 79 |
| 34.98 | 63 |
| 37.03 | 40 |

```
16
Lattice="0.0000 6.2708 10.3161 2.6334 0.0000 10.3161 2.6334 6.2708 0.0000" Properties=species:S:1:pos:R:3 pbc="T T T"
Rb 1.9751 4.7031 1.1003
Rb 3.2918 7.8384 6.2583
Rb 1.9751 4.7031 14.3738
Rb 3.2918 7.8384 19.5319
Li 1.9751 4.7031 7.7371
Li 3.2918 7.8384 12.8951
Mo 0.6584 1.5677 2.5790
Mo 4.6085 10.9738 18.0531
O 1.8620 2.7046 3.4405
O 3.4048 5.8400 8.5985
O 2.0881 6.7015 3.4405
O 2.0881 2.7046 12.0336
O 3.1787 9.8369 8.5985
O 3.1787 5.8400 17.1916
O 1.8620 6.7015 12.0336
O 3.4048 9.8369 17.1916
```